Calculated powder XRD pattern of Ac2TlAgS4 for λ = 1.5418 Å (Cu Kα), from a GGA-PBE-relaxed structure.

Cell and atoms:
Cell lengths 7.537, 7.537, 14.988 Å; angles 90.00, 90.00, 146.34 degrees
Positions (direct):
1 Ac 0.133 0.867 0.564
2 Ac 0.133 0.867 0.936
3 Ac 0.867 0.133 0.064
4 Ac 0.867 0.133 0.436
5 Tl 0.393 0.607 0.750
6 Tl 0.607 0.393 0.250
7 Ag 0.337 0.663 0.250
8 Ag 0.663 0.337 0.750
9 S 0.061 0.939 0.750
10 S 0.236 0.764 0.108
11 S 0.236 0.764 0.392
12 S 0.500 0.500 0.000
13 S 0.500 0.500 0.500
14 S 0.764 0.236 0.608
15 S 0.764 0.236 0.892
16 S 0.939 0.061 0.250

The 12 most intense peaks (2θ from 10° to 80°), in order of rising 2θ:
- 2θ 21.64, I 100
- 2θ 24.39, I 86
- 2θ 24.68, I 55
- 2θ 28.25, I 58
- 2θ 30.11, I 100
- 2θ 35.95, I 30
- 2θ 36.91, I 30
- 2θ 41.07, I 32
- 2θ 41.37, I 34
- 2θ 41.66, I 71
- 2θ 44.10, I 27
- 2θ 47.16, I 28

Calculated powder XRD pattern of Ac2UAgS6 for λ = 1.5418 Å (Cu Kα), from a GGA-PBE-relaxed structure.

Cell and atoms:
Cell lengths 7.317, 7.317, 7.317 Å; angles 59.21, 59.21, 59.21 degrees
Positions (direct):
1 Ac 0.000 0.000 0.000
2 Ac 0.491 0.491 0.491
3 U 0.707 0.707 0.707
4 Ag 0.220 0.220 0.220
5 S 0.053 0.446 0.849
6 S 0.356 0.922 0.574
7 S 0.446 0.849 0.053
8 S 0.574 0.356 0.922
9 S 0.849 0.053 0.446
10 S 0.922 0.574 0.356

The 12 most intense peaks (2θ from 10° to 80°), in order of rising 2θ:
- 2θ 17.24, I 19
- 2θ 24.33, I 97
- 2θ 24.63, I 100
- 2θ 34.90, I 54
- 2θ 38.98, I 36
- 2θ 43.18, I 50
- 2θ 43.36, I 38
- 2θ 50.50, I 18
- 2θ 52.85, I 14
- 2θ 56.82, I 18
- 2θ 68.57, I 15
- 2θ 68.70, I 14

Calculated powder XRD pattern of Ac4Ag5Sb7 for λ = 1.5418 Å (Cu Kα), from a GGA-PBE-relaxed structure.

Cell and atoms:
Cell lengths 12.127, 12.127, 12.127 Å; angles 149.56, 149.56, 43.59 degrees
Positions (direct):
1 Ac 0.134 0.134 0.509
2 Ac 0.375 0.866 0.000
3 Ac 0.625 0.625 0.491
4 Ac 0.866 0.375 0.000
5 Ag 0.000 0.000 0.000
6 Ag 0.250 0.750 0.500
7 Ag 0.251 0.251 0.000
8 Ag 0.749 0.749 0.000
9 Ag 0.750 0.250 0.500
10 Sb 0.000 0.500 0.500
11 Sb 0.078 0.586 0.000
12 Sb 0.414 0.414 0.493
13 Sb 0.500 0.000 0.500
14 Sb 0.500 0.500 0.000
15 Sb 0.586 0.078 0.000
16 Sb 0.922 0.922 0.507

The 12 most intense peaks (2θ from 10° to 80°), in order of rising 2θ:
- 2θ 21.25, I 14
- 2θ 25.33, I 13
- 2θ 31.02, I 21
- 2θ 31.79, I 15
- 2θ 32.30, I 100
- 2θ 40.05, I 35
- 2θ 45.01, I 16
- 2θ 51.50, I 11
- 2θ 52.01, I 15
- 2θ 57.93, I 12
- 2θ 61.81, I 13
- 2θ 67.91, I 23